No. 1
The following is a simulated PXRD pattern of Pr2MgPb4. It was derived from a PBE-relaxed structure, using Cu Kα X-rays.

Most intense lines, 15 to 90 degrees two-theta, most intense first:
| 2θ/deg | I_rel |
| --- | --- |
| 32.5 | 1000 |
| 28.4 | 451 |
| 38.3 | 408 |
| 27.2 | 278 |
| 65.7 | 272 |
| 47.6 | 250 |
| 54.2 | 195 |
| 55.3 | 143 |

Cell and atoms:
```
data_Pr2MgPb4
_cell_length_a 4.695
_cell_length_b 4.695
_cell_length_c 9.844
_cell_angle_alpha 90.00
_cell_angle_beta 90.00
_cell_angle_gamma 90.00
_symmetry_space_group_name_H-M 'P -4 m 2'
_symmetry_Int_Tables_number 115
loop_
_symmetry_equiv_pos_as_xyz
'x,y,z'
'y,-x,-z'
'-x,-y,z'
'-y,x,-z'
'-x,y,z'
'-y,-x,-z'
'x,-y,z'
'y,x,-z'
loop_
_atom_site_label
_atom_site_fract_x
_atom_site_fract_y
_atom_site_fract_z
_atom_site_occupancy
Pr1 0.000 0.500 0.234 1
Mg1 0.500 0.500 0.000 1
Pb1 0.000 0.000 0.500 1
Pb2 0.000 0.500 0.812 1
Pb3 0.500 0.500 0.500 1
```


No. 2
The following is a simulated PXRD pattern of Na2Li2Bi2Pb. It was derived from a PBE-relaxed structure, using Cu Kα X-rays.

Most intense lines, 15 to 90 degrees two-theta, most intense first:
| 2θ/deg | I_rel |
| --- | --- |
| 29.8 | 1000 |
| 30.9 | 728 |
| 35.2 | 549 |
| 38.2 | 517 |
| 28.7 | 283 |
| 54.3 | 280 |
| 52.1 | 243 |
| 45.2 | 226 |

Cell and atoms:
```
data_Na2Li2Bi2Pb
_cell_length_a 3.5098
_cell_length_b 3.5098
_cell_length_c 18.6657
_cell_angle_alpha 90.00
_cell_angle_beta 90.00
_cell_angle_gamma 120.00
_symmetry_space_group_name_H-M 'P -3 m 1'
_symmetry_Int_Tables_number 164
_symmetry_space_group_name_Hall '-P 3 2"'
loop_
_atom_site_label
_atom_site_fract_x
_atom_site_fract_y
_atom_site_fract_z
_atom_site_occupancy
Na1 0.0000 0.0000 0.1711 1
Li1 0.3333 0.6667 0.4333 1
Bi1 0.3333 0.6667 0.6851 1
Pb1 0.0000 0.0000 0.0000 1
```


No. 3
The following is a simulated PXRD pattern of Ac2ZnAu2. It was derived from a PBE-relaxed structure, using Cu Kα X-rays.

Most intense lines, 15 to 90 degrees two-theta, most intense first:
| 2θ/deg | I_rel |
| --- | --- |
| 29.9 | 1000 |
| 37.0 | 749 |
| 30.5 | 480 |
| 30.7 | 474 |
| 39.4 | 451 |
| 33.0 | 422 |
| 34.2 | 408 |
| 24.4 | 326 |

Cell and atoms:
```
data_Ac2ZnAu2
_cell_length_a 11.641
_cell_length_b 4.573
_cell_length_c 11.954
_cell_angle_alpha 90.00
_cell_angle_beta 118.56
_cell_angle_gamma 90.00
_symmetry_space_group_name_H-M 'C 1 2/m 1'
_symmetry_Int_Tables_number 12
loop_
_symmetry_equiv_pos_as_xyz
'x,y,z'
'-x,-y,-z'
'-x,y,-z'
'x,-y,z'
'x+1/2,y+1/2,z'
'-x+1/2,-y+1/2,-z'
'-x+1/2,y+1/2,-z'
'x+1/2,-y+1/2,z'
loop_
_atom_site_label
_atom_site_fract_x
_atom_site_fract_y
_atom_site_fract_z
_atom_site_occupancy
Ac1 0.037 0.000 0.353 1
Ac2 0.191 0.000 0.107 1
Zn1 0.232 0.500 0.331 1
Au1 0.019 0.500 0.878 1
Au2 0.143 0.500 0.584 1
```


No. 4
The following is a simulated PXRD pattern of TiAlCr2H. It was derived from a PBE-relaxed structure, using Cu Kα X-rays.

Most intense lines, 15 to 90 degrees two-theta, most intense first:
| 2θ/deg | I_rel |
| --- | --- |
| 40.8 | 1000 |
| 48.6 | 296 |
| 85.4 | 196 |
| 68.5 | 190 |
| 45.2 | 186 |
| 80.5 | 116 |
| 88.4 | 91 |
| 71.2 | 84 |

Cell and atoms:
```
data_TiAlCr2H
_cell_length_a 3.748
_cell_length_b 3.748
_cell_length_c 4.010
_cell_angle_alpha 90.00
_cell_angle_beta 90.00
_cell_angle_gamma 90.00
_symmetry_space_group_name_H-M 'P 4/m m m'
_symmetry_Int_Tables_number 123
_symmetry_space_group_name_Hall '-P 4 2'
loop_
_atom_site_label
_atom_site_fract_x
_atom_site_fract_y
_atom_site_fract_z
_atom_site_occupancy
Ti1 0.000 0.000 0.000 1
Al1 0.500 0.500 0.000 1
Cr1 0.000 0.500 0.500 1
H1 0.000 0.000 0.500 1
```


No. 5
The following is a simulated PXRD pattern of K2YCuCl6. It was derived from a PBE-relaxed structure, using Cu Kα X-rays.

Most intense lines, 15 to 90 degrees two-theta, most intense first:
| 2θ/deg | I_rel |
| --- | --- |
| 24.9 | 1000 |
| 15.8 | 942 |
| 31.9 | 749 |
| 41.9 | 634 |
| 34.5 | 449 |
| 31.3 | 376 |
| 21.4 | 364 |
| 38.9 | 304 |

Cell and atoms:
```
data_K2YCuCl6
_cell_length_a 7.643
_cell_length_b 8.286
_cell_length_c 11.999
_cell_angle_alpha 90.00
_cell_angle_beta 129.54
_cell_angle_gamma 90.00
_symmetry_space_group_name_H-M 'P 1 21/c 1'
_symmetry_Int_Tables_number 14
loop_
_symmetry_equiv_pos_as_xyz
'x,y,z'
'-x,-y,-z'
'-x,y+1/2,-z+1/2'
'x,-y+1/2,z+1/2'
loop_
_atom_site_label
_atom_site_fract_x
_atom_site_fract_y
_atom_site_fract_z
_atom_site_occupancy
K1 0.234 0.083 0.253 1
Y1 0.500 0.000 0.000 1
Cu1 0.000 0.000 0.500 1
Cl1 0.162 0.161 0.951 1
Cl2 0.289 0.725 0.951 1
Cl3 0.315 0.032 0.718 1
```


No. 6
The following is a simulated PXRD pattern of LiPr4Mg3. It was derived from a PBE-relaxed structure, using Cu Kα X-rays.

Most intense lines, 15 to 90 degrees two-theta, most intense first:
| 2θ/deg | I_rel |
| --- | --- |
| 32.4 | 1000 |
| 22.8 | 677 |
| 57.9 | 378 |
| 52.4 | 288 |
| 40.0 | 209 |
| 46.5 | 182 |
| 77.3 | 159 |
| 72.7 | 136 |

Cell and atoms:
```
data_LiPr4Mg3
_cell_length_a 5.5208
_cell_length_b 5.5208
_cell_length_c 27.0356
_cell_angle_alpha 90.00
_cell_angle_beta 90.00
_cell_angle_gamma 120.00
_symmetry_space_group_name_H-M 'R -3 m'
_symmetry_Int_Tables_number 166
_symmetry_space_group_name_Hall '-R 3 2"'
loop_
_atom_site_label
_atom_site_fract_x
_atom_site_fract_y
_atom_site_fract_z
_atom_site_occupancy
Li1 0.0000 0.0000 0.0000 1
Pr1 0.0000 0.0000 0.1240 1
Pr2 0.0000 0.0000 0.3742 1
Mg1 0.0000 0.0000 0.2486 1
Mg2 0.0000 0.0000 0.5000 1
```


No. 7
The following is a simulated PXRD pattern of Nd4CdSi3O13. It was derived from a PBE-relaxed structure, using Cu Kα X-rays.

Most intense lines, 15 to 90 degrees two-theta, most intense first:
| 2θ/deg | I_rel |
| --- | --- |
| 31.1 | 1000 |
| 31.5 | 567 |
| 27.5 | 397 |
| 28.4 | 393 |
| 48.4 | 340 |
| 45.7 | 304 |
| 21.3 | 301 |
| 32.3 | 297 |

Cell and atoms:
```
data_Nd4CdSi3O13
_cell_length_a 9.6150
_cell_length_b 9.6150
_cell_length_c 7.0316
_cell_angle_alpha 90.00
_cell_angle_beta 90.00
_cell_angle_gamma 120.00
_symmetry_space_group_name_H-M 'P 63'
_symmetry_Int_Tables_number 173
loop_
_symmetry_equiv_pos_as_xyz
'x,y,z'
'x-y,x,z+1/2'
'-y,x-y,z'
'-x,-y,z+1/2'
'-x+y,-x,z'
'y,-x+y,z+1/2'
loop_
_atom_site_label
_atom_site_fract_x
_atom_site_fract_y
_atom_site_fract_z
_atom_site_occupancy
Nd1 0.0119 0.7699 0.0000 1
Nd2 0.3333 0.6667 0.7455 1
Cd1 0.3333 0.6667 0.2450 1
Si1 0.0289 0.6284 0.5012 1
O1 0.0000 0.0000 0.0438 1
O2 0.0694 0.7598 0.3292 1
O3 0.1052 0.7396 0.6934 1
O4 0.1265 0.5291 0.4813 1
O5 0.1667 0.4871 0.0092 1
```


No. 8
The following is a simulated PXRD pattern of Np3Tl3OsS8. It was derived from a PBE-relaxed structure, using Cu Kα X-rays.

Most intense lines, 15 to 90 degrees two-theta, most intense first:
| 2θ/deg | I_rel |
| --- | --- |
| 31.2 | 1000 |
| 28.3 | 651 |
| 41.2 | 435 |
| 22.6 | 407 |
| 47.5 | 215 |
| 48.1 | 208 |
| 53.7 | 176 |
| 58.5 | 166 |

Cell and atoms:
```
data_Np3Tl3OsS8
_cell_length_a 13.124
_cell_length_b 7.556
_cell_length_c 9.001
_cell_angle_alpha 90.00
_cell_angle_beta 118.99
_cell_angle_gamma 90.00
_symmetry_space_group_name_H-M 'C 1 2/m 1'
_symmetry_Int_Tables_number 12
loop_
_symmetry_equiv_pos_as_xyz
'x,y,z'
'-x,-y,-z'
'-x,y,-z'
'x,-y,z'
'x+1/2,y+1/2,z'
'-x+1/2,-y+1/2,-z'
'-x+1/2,y+1/2,-z'
'x+1/2,-y+1/2,z'
loop_
_atom_site_label
_atom_site_fract_x
_atom_site_fract_y
_atom_site_fract_z
_atom_site_occupancy
Np1 0.000 0.000 0.000 1
Np2 0.250 0.250 0.000 1
Tl1 0.000 0.500 0.500 1
Tl2 0.250 0.250 0.500 1
Os1 0.000 0.500 0.000 1
S1 0.014 0.271 0.813 1
S2 0.215 0.500 0.186 1
S3 0.235 0.000 0.205 1
```


Copy entry 3 word for word.
The following is a simulated PXRD pattern of Ac2ZnAu2. It was derived from a PBE-relaxed structure, using Cu Kα X-rays.

Most intense lines, 15 to 90 degrees two-theta, most intense first:
| 2θ/deg | I_rel |
| --- | --- |
| 29.9 | 1000 |
| 37.0 | 749 |
| 30.5 | 480 |
| 30.7 | 474 |
| 39.4 | 451 |
| 33.0 | 422 |
| 34.2 | 408 |
| 24.4 | 326 |

Cell and atoms:
```
data_Ac2ZnAu2
_cell_length_a 11.641
_cell_length_b 4.573
_cell_length_c 11.954
_cell_angle_alpha 90.00
_cell_angle_beta 118.56
_cell_angle_gamma 90.00
_symmetry_space_group_name_H-M 'C 1 2/m 1'
_symmetry_Int_Tables_number 12
loop_
_symmetry_equiv_pos_as_xyz
'x,y,z'
'-x,-y,-z'
'-x,y,-z'
'x,-y,z'
'x+1/2,y+1/2,z'
'-x+1/2,-y+1/2,-z'
'-x+1/2,y+1/2,-z'
'x+1/2,-y+1/2,z'
loop_
_atom_site_label
_atom_site_fract_x
_atom_site_fract_y
_atom_site_fract_z
_atom_site_occupancy
Ac1 0.037 0.000 0.353 1
Ac2 0.191 0.000 0.107 1
Zn1 0.232 0.500 0.331 1
Au1 0.019 0.500 0.878 1
Au2 0.143 0.500 0.584 1
```